This entry pairs a crystal structure of BaClF with its theoretical powder diffractogram. Radiation: Cu Kα. Structure: a DFT-relaxed cell (PBE, the Materials Project).
Lines closer than 0.1° are merged.

Unit cell a=4.4611 b=4.4611 c=7.3489 alpha=90.00 beta=90.00 gamma=90.00
Element x y z (fractional)
1 Ba 0.2500 0.2500 0.2056
2 Ba 0.7500 0.7500 0.7944
3 Cl 0.2500 0.2500 0.6471
4 Cl 0.7500 0.7500 0.3529
5 F 0.2500 0.7500 0.0000
6 F 0.7500 0.2500 0.0000

Peak list (8 most intense, 2θ = 15–90°, low angle first)
h k l, 2θ/deg, I (rel.)
1 0 1, 23.33, 100.0
0 0 2, 24.22, 25.2
1 1 0, 28.29, 73.3
1 0 2, 31.54, 55.1
1 1 2, 37.58, 61.8
2 0 0, 40.44, 43.5
2 1 1, 47.21, 32.1
2 1 2, 52.17, 24.6